Entry 1:
InCu3PbSe4: calculated powder diffractogram (Cu Ka), based on DFT lattice parameters and positions (PBE).

Cell and atoms:
```
InCu3PbSe4
1.0
6.191 0.000 0.000
0.000 6.191 0.000
0.000 0.000 6.191
In Cu Pb Se
1 3 1 4
Direct
0.000 0.000 0.000
0.000 0.000 0.500
0.000 0.500 0.000
0.500 0.000 0.000
0.500 0.500 0.500
0.239 0.239 0.239
0.239 0.761 0.761
0.761 0.239 0.761
0.761 0.761 0.239
```

Principal peaks in the range 2θ = 5–70°, low angle first:
| d_spacing | I_rel |
| --- | --- |
| 4.377 | 55 |
| 3.574 | 68 |
| 2.527 | 28 |
| 2.189 | 100 |
| 1.958 | 13 |
| 1.867 | 32 |
| 1.654 | 16 |
| 1.548 | 16 |
| 1.459 | 9 |
| 1.420 | 12 |

=====

Entry 2:
PmInCu2: calculated powder diffractogram (Cu Ka), based on DFT lattice parameters and positions (PBE).

Cell and atoms:
```
PmInCu2
1.0
0.000 3.370 3.370
3.370 0.000 3.370
3.370 3.370 0.000
Pm In Cu
1 1 2
Direct
0.000 0.000 0.000
0.500 0.500 0.500
0.250 0.250 0.250
0.750 0.750 0.750
```

Principal peaks in the range 2θ = 5–70°, low angle first:
| d_spacing | I_rel |
| --- | --- |
| 3.892 | 1 |
| 3.370 | 12 |
| 2.383 | 100 |
| 2.032 | 1 |
| 1.946 | 4 |
| 1.685 | 17 |
| 1.507 | 5 |
| 1.376 | 33 |

=====

Entry 3:
Pr2InCu2: calculated powder diffractogram (Cu Ka), based on DFT lattice parameters and positions (PBE).

Cell and atoms:
```
Pr2InCu2
1.0
7.826 0.000 0.000
0.000 7.826 0.000
0.000 0.000 3.836
Pr In Cu
4 2 4
Direct
0.175 0.325 0.000
0.325 0.825 0.000
0.675 0.175 0.000
0.825 0.675 0.000
0.000 0.000 0.500
0.500 0.500 0.500
0.118 0.618 0.500
0.382 0.118 0.500
0.618 0.882 0.500
0.882 0.382 0.500
```

Principal peaks in the range 2θ = 5–70°, low angle first:
| d_spacing | I_rel |
| --- | --- |
| 3.500 | 15 |
| 2.767 | 16 |
| 2.739 | 59 |
| 2.586 | 100 |
| 2.475 | 47 |
| 1.918 | 17 |
| 1.898 | 15 |
| 1.701 | 16 |
| 1.662 | 17 |
| 1.516 | 20 |

=====

Entry 4:
PrInCu5: calculated powder diffractogram (Cu Ka), based on DFT lattice parameters and positions (PBE).

Cell and atoms:
```
PrInCu5
1.0
8.430 0.000 0.000
0.000 5.100 0.000
0.000 0.000 10.612
Pr In Cu
4 4 20
Direct
0.244 0.250 0.060
0.256 0.750 0.560
0.744 0.250 0.440
0.756 0.750 0.940
0.139 0.750 0.862
0.361 0.250 0.362
0.639 0.750 0.638
0.861 0.250 0.138
0.057 0.750 0.107
0.067 0.501 0.311
0.067 0.999 0.311
0.082 0.250 0.515
0.184 0.250 0.743
0.316 0.750 0.243
0.418 0.750 0.015
0.433 0.001 0.811
0.433 0.499 0.811
0.443 0.250 0.607
0.557 0.750 0.393
0.567 0.501 0.189
0.567 0.999 0.189
0.582 0.250 0.985
0.684 0.250 0.757
0.816 0.750 0.257
0.918 0.750 0.485
0.933 0.001 0.689
0.933 0.499 0.689
0.943 0.250 0.893
```

Principal peaks in the range 2θ = 5–70°, low angle first:
| d_spacing | I_rel |
| --- | --- |
| 2.907 | 19 |
| 2.748 | 16 |
| 2.550 | 23 |
| 2.531 | 24 |
| 2.396 | 100 |
| 2.137 | 22 |
| 2.056 | 46 |
| 2.009 | 28 |
| 1.441 | 19 |
| 1.359 | 16 |

=====

Entry 5:
PrInCu: calculated powder diffractogram (Cu Ka), based on DFT lattice parameters and positions (PBE).

Cell and atoms:
```
PrInCu
1.0
7.544 0.000 0.000
-3.772 6.533 0.000
0.000 0.000 4.235
Pr In Cu
3 3 3
Direct
0.000 0.585 0.000
0.415 0.415 0.000
0.585 0.000 0.000
0.000 0.245 0.500
0.245 0.000 0.500
0.755 0.755 0.500
0.000 0.000 0.000
0.333 0.667 0.500
0.667 0.333 0.500
```

Principal peaks in the range 2θ = 5–70°, low angle first:
| d_spacing | I_rel |
| --- | --- |
| 2.817 | 100 |
| 2.587 | 85 |
| 2.469 | 57 |
| 2.178 | 19 |
| 2.133 | 16 |
| 2.118 | 27 |
| 1.666 | 23 |
| 1.607 | 30 |
| 1.518 | 11 |
| 1.413 | 24 |

=====

Entry 6:
PrIn2Cu9: calculated powder diffractogram (Cu Ka), based on DFT lattice parameters and positions (PBE).

Cell and atoms:
```
PrIn2Cu9
1.0
8.515 0.000 0.000
0.000 8.515 0.000
0.000 0.000 5.042
Pr In Cu
2 4 18
Direct
0.000 0.000 0.000
0.500 0.500 0.000
0.123 0.377 0.000
0.377 0.877 0.000
0.623 0.123 0.000
0.877 0.623 0.000
0.000 0.500 0.500
0.064 0.207 0.500
0.177 0.677 0.247
0.177 0.677 0.753
0.207 0.936 0.500
0.293 0.436 0.500
0.323 0.177 0.247
0.323 0.177 0.753
0.436 0.707 0.500
0.500 0.000 0.500
0.564 0.293 0.500
0.677 0.823 0.247
0.677 0.823 0.753
0.707 0.564 0.500
0.793 0.064 0.500
0.823 0.323 0.247
0.823 0.323 0.753
0.936 0.793 0.500
```

Principal peaks in the range 2θ = 5–70°, low angle first:
| d_spacing | I_rel |
| --- | --- |
| 2.693 | 22 |
| 2.585 | 22 |
| 2.521 | 18 |
| 2.375 | 100 |
| 2.169 | 30 |
| 2.139 | 42 |
| 2.102 | 77 |
| 2.065 | 37 |
| 1.426 | 18 |
| 1.392 | 17 |

=====

Entry 7:
Pr2In3Cu: calculated powder diffractogram (Cu Ka), based on DFT lattice parameters and positions (PBE).

Cell and atoms:
```
Pr2In3Cu
1.0
3.855 0.000 0.000
0.000 4.839 0.000
0.000 0.000 8.424
Pr In Cu
2 3 1
Direct
0.000 0.000 0.000
0.000 0.500 0.489
0.500 0.000 0.642
0.500 0.500 0.176
0.500 0.500 0.830
0.500 0.000 0.324
```

Principal peaks in the range 2θ = 5–70°, low angle first:
| d_spacing | I_rel |
| --- | --- |
| 2.841 | 100 |
| 2.429 | 42 |
| 2.420 | 22 |
| 1.928 | 11 |
| 1.848 | 9 |
| 1.843 | 18 |
| 1.509 | 28 |
| 1.470 | 16 |
| 1.465 | 9 |
| 1.399 | 7 |

=====

Entry 8:
PrIn6Cu6: calculated powder diffractogram (Cu Ka), based on DFT lattice parameters and positions (PBE).

Cell and atoms:
```
PrIn6Cu6
1.0
-2.797 4.619 4.656
2.797 -4.619 4.656
2.797 4.619 -4.656
Pr In Cu
1 6 6
Direct
0.000 0.000 0.000
0.188 0.688 0.500
0.339 0.000 0.339
0.344 0.344 0.000
0.656 0.656 0.000
0.661 0.000 0.661
0.812 0.312 0.500
0.000 0.000 0.500
0.000 0.500 0.000
0.237 0.500 0.737
0.500 0.000 0.000
0.500 0.500 0.500
0.763 0.500 0.263
```

Principal peaks in the range 2θ = 5–70°, low angle first:
| d_spacing | I_rel |
| --- | --- |
| 2.797 | 33 |
| 2.714 | 57 |
| 2.698 | 20 |
| 2.395 | 61 |
| 2.338 | 100 |
| 2.310 | 30 |
| 2.128 | 47 |
| 2.080 | 30 |
| 1.510 | 24 |
| 1.357 | 18 |

=====

Entry 9:
Pr2In3Cu9: calculated powder diffractogram (Cu Ka), based on DFT lattice parameters and positions (PBE).

Cell and atoms:
```
Pr2In3Cu9
1.0
10.806 0.000 0.000
0.000 17.104 0.000
0.000 0.000 5.183
Pr In Cu
8 12 36
Direct
0.000 0.000 0.000
0.000 0.500 0.000
0.111 0.244 0.500
0.389 0.744 0.000
0.500 0.000 0.500
0.500 0.500 0.500
0.611 0.256 0.000
0.889 0.756 0.500
0.076 0.808 0.000
0.194 0.054 0.500
0.203 0.781 0.500
0.297 0.281 0.000
0.306 0.554 0.000
0.424 0.308 0.500
0.576 0.692 0.500
0.694 0.446 0.000
0.703 0.719 0.000
0.797 0.219 0.500
0.806 0.946 0.500
0.924 0.192 0.000
0.041 0.414 0.500
0.047 0.909 0.500
0.067 0.334 0.000
0.132 0.653 0.244
0.132 0.653 0.756
0.159 0.148 0.000
0.190 0.534 0.500
0.243 0.412 0.256
0.243 0.412 0.744
0.257 0.912 0.244
0.257 0.912 0.756
0.310 0.034 0.000
0.341 0.648 0.500
0.368 0.153 0.256
0.368 0.153 0.744
0.433 0.834 0.500
0.453 0.409 0.000
0.459 0.914 0.000
0.541 0.086 0.000
0.547 0.591 0.000
0.567 0.166 0.500
0.632 0.847 0.256
0.632 0.847 0.744
0.659 0.352 0.500
0.690 0.966 0.000
0.743 0.088 0.244
0.743 0.088 0.756
0.757 0.588 0.256
0.757 0.588 0.744
0.810 0.466 0.500
0.841 0.852 0.000
0.868 0.347 0.244
0.868 0.347 0.756
0.933 0.666 0.000
0.953 0.091 0.500
0.959 0.586 0.500
```

Principal peaks in the range 2θ = 5–70°, low angle first:
| d_spacing | I_rel |
| --- | --- |
| 2.958 | 19 |
| 2.625 | 19 |
| 2.591 | 29 |
| 2.576 | 22 |
| 2.433 | 100 |
| 2.171 | 24 |
| 2.096 | 35 |
| 2.090 | 41 |
| 2.043 | 29 |
| 1.458 | 20 |

=====

Entry 10:
Pr2In3Cu: calculated powder diffractogram (Cu Ka), based on DFT lattice parameters and positions (PBE).

Cell and atoms:
```
Pr2In3Cu
1.0
4.831 0.000 0.000
-2.416 4.184 0.000
0.000 0.000 7.835
Pr In Cu
2 3 1
Direct
0.000 0.000 0.000
0.000 0.000 0.462
0.333 0.667 0.220
0.333 0.667 0.786
0.667 0.333 0.677
0.667 0.333 0.274
```

Principal peaks in the range 2θ = 5–70°, low angle first:
| d_spacing | I_rel |
| --- | --- |
| 3.691 | 12 |
| 2.860 | 100 |
| 2.416 | 72 |
| 2.216 | 17 |
| 1.845 | 28 |
| 1.633 | 6 |
| 1.522 | 13 |
| 1.467 | 31 |
| 1.395 | 12 |
| 1.353 | 7 |

=====

Entry 11:
PrInCu2: calculated powder diffractogram (Cu Ka), based on DFT lattice parameters and positions (PBE).

Cell and atoms:
```
PrInCu2
1.0
0.000 3.407 3.407
3.407 0.000 3.407
3.407 3.407 0.000
Pr In Cu
1 1 2
Direct
0.000 0.000 0.000
0.500 0.500 0.500
0.250 0.250 0.250
0.750 0.750 0.750
```

Principal peaks in the range 2θ = 5–70°, low angle first:
| d_spacing | I_rel |
| --- | --- |
| 3.934 | 1 |
| 3.407 | 12 |
| 2.409 | 100 |
| 2.054 | 1 |
| 1.967 | 3 |
| 1.703 | 17 |
| 1.523 | 5 |
| 1.391 | 33 |

=====

Entry 12:
InCuS2: calculated powder diffractogram (Cu Ka), based on DFT lattice parameters and positions (PBE).

Cell and atoms:
```
InCuS2
1.0
1.940 1.120 6.157
-1.940 1.120 6.157
0.000 -2.240 6.157
In Cu S
1 1 2
Direct
0.000 0.000 0.000
0.859 0.859 0.859
0.235 0.235 0.235
0.735 0.735 0.735
```

Principal peaks in the range 2θ = 5–70°, low angle first:
| d_spacing | I_rel |
| --- | --- |
| 6.157 | 21 |
| 3.306 | 100 |
| 3.158 | 13 |
| 3.078 | 18 |
| 2.717 | 27 |
| 2.486 | 22 |
| 2.075 | 32 |
| 1.940 | 47 |
| 1.903 | 38 |
| 1.641 | 16 |